(1)
Diffraction record for Na3GeAu4. The X-ray diffraction stick pattern is theoretical, not measured: it uses a cell relaxed with GGA-PBE and Cu Ka.

Lattice parameters (Å, degrees): 15.7378 9.6168 4.8828 90.00 90.00 90.00
Positions (direct):
1 Na 0.0934 0.2500 0.0018
2 Na 0.1429 0.0332 0.5011
3 Na 0.1429 0.4668 0.5011
4 Na 0.3571 0.5332 0.0011
5 Na 0.3571 0.9668 0.0011
6 Na 0.4066 0.7500 0.5018
7 Na 0.5934 0.2500 0.4982
8 Na 0.6429 0.0332 0.9989
9 Na 0.6429 0.4668 0.9989
10 Na 0.8571 0.5332 0.4989
11 Na 0.8571 0.9668 0.4989
12 Na 0.9066 0.7500 0.9982
13 Ge 0.1981 0.7500 0.9836
14 Ge 0.3019 0.2500 0.4836
15 Ge 0.6981 0.7500 0.5164
16 Ge 0.8019 0.2500 0.0164
17 Au 0.0215 0.7500 0.4986
18 Au 0.0648 0.5926 0.9992
19 Au 0.0648 0.9074 0.9992
20 Au 0.2277 0.7500 0.4833
21 Au 0.2723 0.2500 0.9833
22 Au 0.4352 0.0926 0.4992
23 Au 0.4352 0.4074 0.4992
24 Au 0.4785 0.2500 0.9986
25 Au 0.5215 0.7500 0.0014
26 Au 0.5648 0.5926 0.5008
27 Au 0.5648 0.9074 0.5008
28 Au 0.7277 0.7500 0.0167
29 Au 0.7723 0.2500 0.5167
30 Au 0.9352 0.0926 0.0008
31 Au 0.9352 0.4074 0.0008
32 Au 0.9785 0.2500 0.5014

Most intense lines, 2θ from 10° to 80°, in order of rising 2θ:
- 11.2 deg, d 7.869, I = 48
- 14.5 deg, d 6.090, I = 100
- 26.6 deg, d 3.349, I = 94
- 33.9 deg, d 2.643, I = 68
- 35.5 deg, d 2.531, I = 42
- 36.8 deg, d 2.441, I = 61
- 42.3 deg, d 2.137, I = 39
- 44.4 deg, d 2.041, I = 78

***

(2)
Diffraction record for KFeAg2. The X-ray diffraction stick pattern is theoretical, not measured: it uses a cell relaxed with GGA-PBE and Cu Ka.

Lattice parameters (Å, degrees): 3.0881 3.0881 29.9211 90.00 90.00 120.00
Positions (direct):
1 K 0.0000 0.0000 0.0000
2 K 0.3333 0.6667 0.6667
3 K 0.6667 0.3333 0.3333
4 Fe 0.0000 0.0000 0.5000
5 Fe 0.3333 0.6667 0.1667
6 Fe 0.6667 0.3333 0.8333
7 Ag 0.0000 0.0000 0.2361
8 Ag 0.0000 0.0000 0.7639
9 Ag 0.3333 0.6667 0.4306
10 Ag 0.3333 0.6667 0.9027
11 Ag 0.6667 0.3333 0.0973
12 Ag 0.6667 0.3333 0.5694

Most intense lines, 2θ from 10° to 80°, in order of rising 2θ:
- 17.8 deg, d 4.987, I = 16
- 34.1 deg, d 2.633, I = 17
- 35.7 deg, d 2.518, I = 100
- 36.0 deg, d 2.493, I = 15
- 39.8 deg, d 2.267, I = 17
- 41.5 deg, d 2.175, I = 49
- 47.7 deg, d 1.907, I = 18
- 59.9 deg, d 1.544, I = 22

***

(3)
Diffraction record for Pm4Y9Tm11. The X-ray diffraction stick pattern is theoretical, not measured: it uses a cell relaxed with GGA-PBE and Cu Ka.

Lattice parameters (Å, degrees): 14.9951 14.9951 3.6775 90.00 90.00 112.68
Positions (direct):
1 Pm 0.0534 0.2541 0.0000
2 Pm 0.2541 0.0534 0.0000
3 Pm 0.7459 0.9466 0.0000
4 Pm 0.9466 0.7459 0.0000
5 Y 0.0000 0.0000 0.0000
6 Y 0.1333 0.6615 0.0000
7 Y 0.2873 0.4332 0.0000
8 Y 0.3385 0.8667 0.0000
9 Y 0.4332 0.2873 0.0000
10 Y 0.5668 0.7127 0.0000
11 Y 0.6615 0.1333 0.0000
12 Y 0.7127 0.5668 0.0000
13 Y 0.8667 0.3385 0.0000
14 Tm 0.0928 0.4547 0.5000
15 Tm 0.1355 0.8645 0.5000
16 Tm 0.2120 0.2120 0.5000
17 Tm 0.3413 0.6587 0.5000
18 Tm 0.4547 0.0928 0.5000
19 Tm 0.5000 0.5000 0.5000
20 Tm 0.5453 0.9072 0.5000
21 Tm 0.6587 0.3413 0.5000
22 Tm 0.7880 0.7880 0.5000
23 Tm 0.8645 0.1355 0.5000
24 Tm 0.9072 0.5453 0.5000

Most intense lines, 2θ from 10° to 80°, in order of rising 2θ:
- 30.2 deg, d 2.960, I = 16
- 30.4 deg, d 2.940, I = 48
- 30.6 deg, d 2.919, I = 10
- 31.1 deg, d 2.875, I = 16
- 32.5 deg, d 2.755, I = 100
- 34.3 deg, d 2.612, I = 11
- 49.6 deg, d 1.839, I = 12
- 59.3 deg, d 1.559, I = 15

***

(4)
Diffraction record for Y5B4Rh15. The X-ray diffraction stick pattern is theoretical, not measured: it uses a cell relaxed with GGA-PBE and Cu Ka.

Lattice parameters (Å, degrees): 4.2110 4.2110 20.5700 90.00 90.00 90.00
Positions (direct):
1 Y 0.0000 0.0000 0.0000
2 Y 0.0000 0.0000 0.2025
3 Y 0.0000 0.0000 0.4038
4 Y 0.0000 0.0000 0.5962
5 Y 0.0000 0.0000 0.7975
6 B 0.5000 0.5000 0.1030
7 B 0.5000 0.5000 0.3116
8 B 0.5000 0.5000 0.6884
9 B 0.5000 0.5000 0.8970
10 Rh 0.0000 0.5000 0.1017
11 Rh 0.0000 0.5000 0.3035
12 Rh 0.0000 0.5000 0.5000
13 Rh 0.0000 0.5000 0.6965
14 Rh 0.0000 0.5000 0.8983
15 Rh 0.5000 0.0000 0.1017
16 Rh 0.5000 0.0000 0.3035
17 Rh 0.5000 0.0000 0.5000
18 Rh 0.5000 0.0000 0.6965
19 Rh 0.5000 0.0000 0.8983
20 Rh 0.5000 0.5000 0.0000
21 Rh 0.5000 0.5000 0.2051
22 Rh 0.5000 0.5000 0.4108
23 Rh 0.5000 0.5000 0.5892
24 Rh 0.5000 0.5000 0.7949

Most intense lines, 2θ from 10° to 80°, in order of rising 2θ:
- 37.3 deg, d 2.412, I = 100
- 43.0 deg, d 2.105, I = 36
- 44.0 deg, d 2.057, I = 15
- 62.4 deg, d 1.489, I = 12
- 63.2 deg, d 1.471, I = 21
- 75.0 deg, d 1.267, I = 25
- 76.5 deg, d 1.246, I = 10
- 79.5 deg, d 1.206, I = 11